Computed powder diffraction line list of Hf2FeC2S for Cu Kα X-rays, from DFT lattice parameters and positions (GGA-PBE).

Most intense lines, 2θ = 15–90°, by angle:
2theta	d (Å)	intensity
15.8	5.605	40
23.8	3.737	23
30.4	2.943	53
31.4	2.846	36
34.4	2.606	26
39.0	2.312	100
44.6	2.029	15
54.0	1.699	25
58.5	1.577	20
59.8	1.547	12
68.5	1.369	19
75.7	1.257	16

Crystal structure
```
Hf2FeC2S
1.0
3.398 0.000 0.000
-1.699 2.943 0.000
0.000 0.000 11.211
Hf Fe C S
2 1 2 1
Direct
0.000 0.000 0.000
0.000 0.000 0.335
0.333 0.667 0.498
0.667 0.333 0.454
0.667 0.333 0.935
0.333 0.667 0.180
```

=====

Computed powder diffraction line list of In2Hg3Te6 for Cu Kα X-rays, from DFT lattice parameters and positions (GGA-PBE).

Most intense lines, 2θ = 15–90°, by angle:
2theta	d (Å)	intensity
21.2	4.196	38
23.1	3.843	48
23.5	3.788	100
35.7	2.513	23
36.7	2.452	43
39.1	2.306	74
42.1	2.146	18
44.3	2.046	12
44.8	2.021	11
45.4	1.996	10
45.9	1.977	15
54.0	1.699	14

Crystal structure
```
In2Hg3Te6
1.0
3.995 -2.306 0.000
3.995 2.306 0.000
-1.703 0.000 50.350
In Hg Te
4 6 12
Direct
0.000 0.000 0.000
0.006 0.006 0.735
0.338 0.338 0.908
0.678 0.678 0.820
0.004 0.004 0.239
0.337 0.337 0.159
0.337 0.337 0.648
0.338 0.338 0.407
0.670 0.670 0.080
0.670 0.670 0.569
0.003 0.003 0.792
0.005 0.005 0.293
0.326 0.326 0.976
0.334 0.334 0.214
0.334 0.334 0.710
0.335 0.335 0.462
0.661 0.661 0.879
0.665 0.665 0.386
0.666 0.666 0.135
0.667 0.667 0.631
0.998 0.998 0.056
0.999 0.999 0.551
```

=====

Computed powder diffraction line list of Sr2SbN3 for Cu Kα X-rays, from DFT lattice parameters and positions (GGA-PBE).

Most intense lines, 2θ = 15–90°, by angle:
2theta	d (Å)	intensity
27.3	3.271	15
28.2	3.159	29
28.6	3.116	24
30.0	2.975	69
30.9	2.893	100
33.3	2.687	42
33.8	2.652	16
42.0	2.151	26
45.8	1.980	17
53.9	1.702	25
54.1	1.695	13
63.1	1.472	19

Crystal structure
```
Sr2SbN3
1.0
2.975 -5.860 0.000
2.975 5.860 0.000
0.000 0.000 12.464
Sr Sb N
8 4 12
Direct
0.040 0.960 0.856
0.133 0.867 0.424
0.367 0.633 0.924
0.460 0.540 0.356
0.540 0.460 0.644
0.633 0.367 0.076
0.867 0.133 0.576
0.960 0.040 0.144
0.246 0.754 0.660
0.254 0.746 0.160
0.746 0.254 0.840
0.754 0.246 0.340
0.066 0.434 0.750
0.076 0.924 0.642
0.153 0.847 0.030
0.347 0.653 0.530
0.424 0.576 0.142
0.434 0.066 0.250
0.566 0.934 0.750
0.576 0.424 0.858
0.653 0.347 0.470
0.847 0.153 0.970
0.924 0.076 0.358
0.934 0.566 0.250
```

=====

Computed powder diffraction line list of Y2O3 for Cu Kα X-rays, from DFT lattice parameters and positions (GGA-PBE).

Most intense lines, 2θ = 15–90°, by angle:
2theta	d (Å)	intensity
23.8	3.743	2
29.2	3.056	100
33.9	2.646	26
41.8	2.161	1
48.7	1.871	55
57.8	1.596	41
60.6	1.528	7
71.3	1.323	8
78.8	1.214	16
81.3	1.183	10

Crystal structure
```
Y2O3
1.0
5.293 0.000 0.000
0.000 5.293 0.000
0.000 0.000 5.293
Y O
4 6
Direct
0.000 0.000 0.000
0.000 0.500 0.500
0.500 0.000 0.500
0.500 0.500 0.000
0.250 0.250 0.750
0.250 0.750 0.250
0.250 0.750 0.750
0.750 0.250 0.250
0.750 0.250 0.750
0.750 0.750 0.250
```

=====

Computed powder diffraction line list of Mg2AgRh for Cu Kα X-rays, from DFT lattice parameters and positions (GGA-PBE).

Most intense lines, 2θ = 15–90°, by angle:
2theta	d (Å)	intensity
27.7	3.216	50
39.6	2.274	100
49.1	1.856	14
57.3	1.608	16
64.8	1.438	17
71.9	1.313	32
85.4	1.137	10

Crystal structure
```
Mg2AgRh
1.0
0.000 3.216 3.216
3.216 0.000 3.216
3.216 3.216 0.000
Mg Ag Rh
2 1 1
Direct
0.250 0.250 0.250
0.750 0.750 0.750
0.000 0.000 0.000
0.500 0.500 0.500
```

=====

Computed powder diffraction line list of PuU4C5 for Cu Kα X-rays, from DFT lattice parameters and positions (GGA-PBE).

Most intense lines, 2θ = 15–90°, by angle:
2theta	d (Å)	intensity
30.7	2.915	100
31.5	2.839	31
35.8	2.508	81
51.0	1.791	30
52.1	1.756	28
60.7	1.526	16
61.2	1.515	30
62.2	1.493	14
63.9	1.458	15
83.2	1.162	14
86.0	1.131	15
87.7	1.113	14

Crystal structure
```
PuU4C5
1.0
1.791 1.034 14.196
-1.791 1.034 14.196
0.000 -2.068 14.196
Pu U C
1 4 5
Direct
0.000 0.000 0.000
0.200 0.200 0.200
0.399 0.399 0.399
0.601 0.601 0.601
0.800 0.800 0.800
0.099 0.099 0.099
0.299 0.299 0.299
0.500 0.500 0.500
0.701 0.701 0.701
0.901 0.901 0.901
```